No. 1
Theoretical powder diffraction line list
Compound: Ti6Co3O16
Radiation: Cu Ka
Structure: a cell relaxed with GGA+U
Intensities are scaled so that the largest is 1000.

Atomic structure:
a = 8.394 Å, b = 8.476 Å, c = 8.427 Å
α = 90.00°, β = 90.16°, γ = 90.00°
Space group P2_1 (No. 4)
Symmetry-distinct sites (fractional):
Ti  0.109  0.000  0.106 (multiplicity 2)
Ti  0.132  0.744  0.355 (multiplicity 2)
Ti  0.136  0.497  0.636 (multiplicity 2)
Ti  0.364  0.278  0.117 (multiplicity 2)
Ti  0.389  0.753  0.620 (multiplicity 2)
Ti  0.390  0.017  0.867 (multiplicity 2)
Co  0.004  0.875  0.745 (multiplicity 2)
Co  0.241  0.127  0.499 (multiplicity 2)
Co  0.492  0.891  0.241 (multiplicity 2)
O  0.100  0.522  0.383 (multiplicity 2)
O  0.105  0.510  0.850 (multiplicity 2)
O  0.113  0.275  0.603 (multiplicity 2)
O  0.114  0.994  0.367 (multiplicity 2)
O  0.127  0.781  0.147 (multiplicity 2)
O  0.135  0.243  0.148 (multiplicity 2)
O  0.135  0.990  0.887 (multiplicity 2)
O  0.138  0.741  0.614 (multiplicity 2)
O  0.353  0.998  0.636 (multiplicity 2)
O  0.356  0.024  0.102 (multiplicity 2)
O  0.358  0.773  0.393 (multiplicity 2)
O  0.359  0.525  0.633 (multiplicity 2)
O  0.386  0.236  0.368 (multiplicity 2)
O  0.386  0.245  0.891 (multiplicity 2)
O  0.389  0.492  0.120 (multiplicity 2)
O  0.403  0.782  0.847 (multiplicity 2)

Peak list (12 most intense, 2θ from 10° to 90°, by intensity)
35.42°, I = 1000
35.32°, I = 1000
35.17°, I = 998
29.93°, I = 752
14.86°, I = 734
25.92°, I = 586
62.13°, I = 459
62.27°, I = 458
23.65°, I = 436
23.52°, I = 435
30.05°, I = 377
56.45°, I = 291

---

No. 2
Theoretical powder diffraction line list
Compound: Ti3Co3O
Radiation: Cu Ka
Structure: a cell relaxed with GGA+U
Intensities are scaled so that the largest is 1000.

Atomic structure:
a = 11.135 Å, b = 11.135 Å, c = 11.135 Å
α = 90.00°, β = 90.00°, γ = 90.00°
Space group Fd-3m (No. 227, origin choice 2)
Symmetry-distinct sites (fractional):
Ti  0.065  0.375  0.375 (multiplicity 48)
Co  0.000  0.000  0.500 (multiplicity 16)
Co  0.045  0.045  0.705 (multiplicity 32)
O  0.000  0.000  0.000 (multiplicity 16)

Peak list (12 most intense, 2θ from 10° to 90°, by intensity)
42.17°, I = 1000
46.11°, I = 297
71.95°, I = 274
39.65°, I = 270
13.77°, I = 211
87.08°, I = 181
49.09°, I = 159
54.67°, I = 117
73.68°, I = 63
35.13°, I = 50
78.77°, I = 50
48.36°, I = 43

---

No. 3
Theoretical powder diffraction line list
Compound: Ti2CoO5
Radiation: Cu Ka
Structure: a cell relaxed with GGA+U
Intensities are scaled so that the largest is 1000.

Atomic structure:
a = 3.751 Å, b = 9.817 Å, c = 10.207 Å
α = 90.00°, β = 90.00°, γ = 90.00°
Space group Cmcm (No. 63)
Symmetry-distinct sites (fractional):
Ti  0.000  0.134  0.068 (multiplicity 8)
Co  0.000  0.190  0.750 (multiplicity 4)
O  0.000  0.046  0.612 (multiplicity 8)
O  0.000  0.214  0.250 (multiplicity 4)
O  0.000  0.314  0.561 (multiplicity 8)

Peak list (12 most intense, 2θ from 10° to 90°, by intensity)
25.42°, I = 1000
32.01°, I = 769
18.07°, I = 424
48.54°, I = 345
36.82°, I = 323
36.44°, I = 255
55.84°, I = 239
45.58°, I = 234
59.33°, I = 227
59.70°, I = 175
39.82°, I = 173
53.90°, I = 161

---

No. 4
Theoretical powder diffraction line list
Compound: Ti2CoO5
Radiation: Cu Ka
Structure: a cell relaxed with GGA+U
Intensities are scaled so that the largest is 1000.

Atomic structure:
a = 5.253 Å, b = 10.195 Å, c = 10.608 Å
α = 89.77°, β = 83.38°, γ = 89.86°
Space group P1 (No. 1)
Symmetry-distinct sites (fractional):
Ti  0.000  0.000  0.000 (multiplicity 1)
Ti  0.000  0.368  0.001 (multiplicity 1)
Ti  0.228  0.885  0.242 (multiplicity 1)
Ti  0.230  0.501  0.242 (multiplicity 1)
Ti  0.339  0.367  0.670 (multiplicity 1)
Ti  0.347  0.001  0.665 (multiplicity 1)
Ti  0.557  0.868  0.909 (multiplicity 1)
Ti  0.560  0.508  0.909 (multiplicity 1)
Ti  0.683  0.362  0.337 (multiplicity 1)
Ti  0.765  0.689  0.350 (multiplicity 1)
Ti  0.894  0.879  0.576 (multiplicity 1)
Ti  0.895  0.499  0.578 (multiplicity 1)
Co  0.099  0.686  0.017 (multiplicity 1)
Co  0.137  0.188  0.223 (multiplicity 1)
Co  0.428  0.686  0.682 (multiplicity 1)
Co  0.465  0.187  0.896 (multiplicity 1)
Co  0.683  0.001  0.334 (multiplicity 1)
Co  0.795  0.187  0.559 (multiplicity 1)
O  0.032  0.325  0.612 (multiplicity 1)
O  0.042  0.049  0.605 (multiplicity 1)
O  0.053  0.680  0.220 (multiplicity 1)
O  0.137  0.189  0.025 (multiplicity 1)
O  0.190  0.550  0.632 (multiplicity 1)
O  0.192  0.826  0.636 (multiplicity 1)
O  0.257  0.383  0.852 (multiplicity 1)
O  0.268  0.994  0.851 (multiplicity 1)
O  0.313  0.505  0.063 (multiplicity 1)
O  0.313  0.863  0.060 (multiplicity 1)
O  0.354  0.044  0.272 (multiplicity 1)
O  0.371  0.329  0.276 (multiplicity 1)
O  0.424  0.685  0.879 (multiplicity 1)
O  0.468  0.190  0.699 (multiplicity 1)
O  0.530  0.808  0.303 (multiplicity 1)
O  0.531  0.556  0.302 (multiplicity 1)
O  0.585  0.375  0.518 (multiplicity 1)
O  0.600  0.004  0.525 (multiplicity 1)
O  0.639  0.498  0.724 (multiplicity 1)
O  0.642  0.869  0.724 (multiplicity 1)
O  0.696  0.326  0.947 (multiplicity 1)
O  0.699  0.047  0.942 (multiplicity 1)
O  0.738  0.685  0.536 (multiplicity 1)
O  0.824  0.198  0.360 (multiplicity 1)
O  0.865  0.549  0.963 (multiplicity 1)
O  0.865  0.824  0.962 (multiplicity 1)
O  0.929  0.383  0.183 (multiplicity 1)
O  0.933  0.990  0.176 (multiplicity 1)
O  0.965  0.500  0.392 (multiplicity 1)
O  0.976  0.860  0.393 (multiplicity 1)

Peak list (12 most intense, 2θ from 10° to 90°, by intensity)
25.37°, I = 1000
18.08°, I = 432
31.98°, I = 399
48.41°, I = 384
32.09°, I = 380
36.41°, I = 258
36.83°, I = 237
53.97°, I = 147
36.68°, I = 141
45.69°, I = 131
25.19°, I = 122
45.53°, I = 115

---

No. 5
Theoretical powder diffraction line list
Compound: TiCo3O8
Radiation: Cu Ka
Structure: a cell relaxed with GGA+U
Intensities are scaled so that the largest is 1000.

Atomic structure:
a = 9.955 Å, b = 5.752 Å, c = 5.991 Å
α = 90.00°, β = 123.61°, γ = 90.00°
Space group Cm (No. 8)
Symmetry-distinct sites (fractional):
Ti  0.000  0.000  0.000 (multiplicity 2)
Co  0.233  0.251  0.949 (multiplicity 4)
Co  0.485  0.000  0.948 (multiplicity 2)
O  0.010  0.257  0.769 (multiplicity 4)
O  0.214  0.500  0.141 (multiplicity 2)
O  0.226  0.000  0.150 (multiplicity 2)
O  0.253  0.500  0.768 (multiplicity 2)
O  0.254  0.000  0.759 (multiplicity 2)
O  0.463  0.237  0.150 (multiplicity 4)

Peak list (12 most intense, 2θ from 10° to 90°, by intensity)
17.78°, I = 1000
43.67°, I = 391
36.59°, I = 271
56.75°, I = 140
67.85°, I = 120
62.05°, I = 85
64.88°, I = 72
47.50°, I = 65
38.09°, I = 58
81.48°, I = 46
80.43°, I = 45
64.82°, I = 42

---

No. 6
Theoretical powder diffraction line list
Compound: U2CoO6
Radiation: Cu Ka
Structure: a cell relaxed with GGA+U
Intensities are scaled so that the largest is 1000.

Atomic structure:
a = 9.1215 Å, b = 9.1215 Å, c = 5.0536 Å
α = 90.00°, β = 90.00°, γ = 120.00°
Space group P321 (No. 150)
Symmetry-distinct sites (fractional):
U  0.0000  0.3207  0.0000 (multiplicity 3)
U  0.0000  0.6538  0.5000 (multiplicity 3)
Co  0.0000  0.0000  0.5000 (multiplicity 1)
Co  0.3333  0.6667  0.0044 (multiplicity 2)
O  0.1065  0.5468  0.2409 (multiplicity 6)
O  0.1083  0.8807  0.2691 (multiplicity 6)
O  0.2167  0.7769  0.7679 (multiplicity 6)

Peak list (12 most intense, 2θ from 10° to 90°, by intensity)
26.32°, I = 1000
34.05°, I = 357
50.03°, I = 354
43.54°, I = 258
56.40°, I = 237
19.46°, I = 178
58.40°, I = 116
60.94°, I = 105
79.57°, I = 97
77.84°, I = 91
35.53°, I = 89
82.64°, I = 77

---

Question: Number 2 is which compound?
Answer: Ti3Co3O